[1]
Na2YPaS4: simulated powder diffraction line list (Cu Kα (λ = 1.5418 Å)), based on DFT lattice parameters and positions (PBE).
Lines closer than 0.1° are merged.

Crystal structure
```
Na2YPaS4
1.0
6.898 0.000 0.000
0.000 3.935 0.000
-2.256 0.000 6.771
Na Y Pa S
2 1 1 4
Cartesian
0.000 0.000 0.000
3.449 1.968 0.000
-1.128 1.968 3.386
2.321 0.000 3.386
0.044 0.000 4.944
1.153 1.968 1.805
3.489 1.968 4.966
4.598 0.000 1.827
```

Most intense lines, 10° ≤ 2θ ≤ 90°, by angle:
- 13.1°, I 84.8
- 26.2°, I 21.9
- 26.4°, I 28.8
- 27.6°, I 19.7
- 31.5°, I 100.0
- 40.7°, I 18.2
- 44.5°, I 24.3
- 45.7°, I 23.1

***

[2]
NaScPaTe4: simulated powder diffraction line list (Cu Kα (λ = 1.5418 Å)), based on DFT lattice parameters and positions (PBE).
Lines closer than 0.1° are merged.

Crystal structure
```
NaScPaTe4
1.0
-4.433 4.878 5.563
4.433 -4.878 5.563
4.433 4.878 -5.563
Na Sc Pa Te
2 2 2 8
Cartesian
0.000 2.439 2.125
4.433 2.439 3.439
2.217 2.439 -2.782
2.217 -2.439 2.782
4.433 0.000 0.000
0.000 0.000 5.563
4.433 4.363 -3.004
4.433 -0.515 3.004
2.476 2.439 0.185
6.390 2.439 0.185
-1.957 2.439 5.378
1.957 2.439 5.378
0.000 5.394 2.559
0.000 0.515 8.568
```

Most intense lines, 10° ≤ 2θ ≤ 90°, by angle:
- 12.8°, I 65.3
- 25.7°, I 20.9
- 26.0°, I 35.7
- 27.2°, I 100.0
- 32.2°, I 36.6
- 36.5°, I 23.6
- 42.6°, I 56.6
- 66.1°, I 22.9

***

[3]
Na3Pa4Se8: simulated powder diffraction line list (Cu Kα (λ = 1.5418 Å)), based on DFT lattice parameters and positions (PBE).
Lines closer than 0.1° are merged.

Crystal structure
```
Na3Pa4Se8
1.0
5.807 -5.806 0.000
5.807 5.806 0.000
-5.719 0.000 5.878
Na Pa Se
3 4 8
Cartesian
0.000 0.000 0.000
2.903 2.903 0.000
2.903 -2.903 0.000
0.044 2.903 2.939
0.044 -2.903 2.939
5.807 0.000 0.000
2.948 0.000 2.939
-0.013 0.000 2.952
2.948 2.908 2.939
5.807 2.895 0.000
2.990 0.000 0.108
2.905 0.000 5.770
5.807 -2.895 0.000
2.948 -2.908 2.939
5.909 0.000 2.926
```

Most intense lines, 10° ≤ 2θ ≤ 90°, by angle:
- 13.1°, I 53.8
- 25.3°, I 22.1
- 30.4°, I 51.5
- 30.8°, I 100.0
- 43.8°, I 38.0
- 44.1°, I 55.9
- 54.2°, I 20.1
- 54.8°, I 19.8

***

[4]
NaPaSe4: simulated powder diffraction line list (Cu Kα (λ = 1.5418 Å)), based on DFT lattice parameters and positions (PBE).
Lines closer than 0.1° are merged.

Crystal structure
```
NaPaSe4
1.0
6.302 0.000 0.000
0.000 6.302 0.000
0.000 0.000 7.618
Na Pa Se
2 2 8
Cartesian
1.575 1.575 0.000
4.726 4.726 0.000
1.575 1.575 3.809
4.726 4.726 3.809
0.614 3.765 2.132
0.614 5.688 5.487
2.537 3.765 5.487
2.537 5.688 2.132
3.765 0.614 5.487
3.765 2.537 2.132
5.688 0.614 2.132
5.688 2.537 5.487
```

Most intense lines, 10° ≤ 2θ ≤ 90°, by angle:
- 11.6°, I 100.0
- 23.1°, I 40.8
- 30.9°, I 74.9
- 33.9°, I 56.3
- 37.0°, I 47.0
- 45.5°, I 38.8
- 47.1°, I 21.6
- 67.7°, I 24.5

***

[5]
NaPaSe3: simulated powder diffraction line list (Cu Kα (λ = 1.5418 Å)), based on DFT lattice parameters and positions (PBE).
Lines closer than 0.1° are merged.

Crystal structure
```
NaPaSe3
1.0
3.588 2.071 7.105
-3.588 2.071 7.105
0.000 -4.143 7.105
Na Pa Se
2 2 6
Cartesian
0.000 0.000 2.972
0.000 0.000 18.344
0.000 0.000 7.136
0.000 0.000 14.180
-1.492 -1.591 8.872
-0.632 -2.087 12.444
-0.632 2.087 8.872
-1.492 1.591 12.444
2.123 -0.497 8.872
2.123 0.497 12.444
```

Most intense lines, 10° ≤ 2θ ≤ 90°, by angle:
- 12.5°, I 60.0
- 14.8°, I 63.6
- 16.5°, I 49.0
- 24.8°, I 42.5
- 27.9°, I 55.8
- 35.6°, I 100.0
- 35.8°, I 20.7
- 43.7°, I 24.2

***

[6]
Na4Pa3Se8: simulated powder diffraction line list (Cu Kα (λ = 1.5418 Å)), based on DFT lattice parameters and positions (PBE).
Lines closer than 0.1° are merged.

Crystal structure
```
Na4Pa3Se8
1.0
4.197 2.423 7.550
-4.197 2.423 7.550
0.000 -4.847 7.550
Na Pa Se
4 3 8
Cartesian
0.000 0.000 0.000
0.000 0.000 3.166
0.000 0.000 11.325
0.000 0.000 19.484
-2.099 -1.212 7.550
-2.099 1.212 15.100
0.000 2.423 7.550
0.000 -2.296 9.165
-1.988 1.148 9.165
0.000 0.000 5.995
-1.988 -1.148 13.485
1.988 1.148 9.165
0.000 0.000 16.655
1.988 -1.148 13.485
0.000 2.296 13.485
```

Most intense lines, 10° ≤ 2θ ≤ 90°, by angle:
- 11.7°, I 100.0
- 12.8°, I 21.4
- 24.8°, I 38.5
- 29.2°, I 98.6
- 37.2°, I 35.5
- 40.4°, I 40.5
- 43.1°, I 42.7
- 44.8°, I 23.1

***

[7]
NaPa4Se7: simulated powder diffraction line list (Cu Kα (λ = 1.5418 Å)), based on DFT lattice parameters and positions (PBE).
Lines closer than 0.1° are merged.

Crystal structure
```
NaPa4Se7
1.0
4.095 0.000 0.000
-2.048 3.547 0.000
0.000 0.000 24.331
Na Pa Se
1 4 7
Cartesian
0.000 0.000 0.000
0.000 2.364 3.642
0.000 2.364 10.551
2.048 1.182 13.780
2.048 1.182 20.689
0.000 0.000 5.219
0.000 0.000 12.166
0.000 0.000 19.112
0.000 2.364 15.387
0.000 2.364 22.436
2.048 1.182 1.895
2.048 1.182 8.944
```

Most intense lines, 10° ≤ 2θ ≤ 90°, by angle:
- 10.9°, I 60.7
- 29.1°, I 100.0
- 33.6°, I 32.9
- 36.2°, I 22.6
- 39.0°, I 21.0
- 44.2°, I 41.4
- 45.2°, I 24.1
- 53.9°, I 18.3

***

[8]
Na2Pa3Se6: simulated powder diffraction line list (Cu Kα (λ = 1.5418 Å)), based on DFT lattice parameters and positions (PBE).
Lines closer than 0.1° are merged.

Crystal structure
```
Na2Pa3Se6
1.0
3.541 -6.126 0.000
3.541 6.126 0.000
-2.340 0.000 7.251
Na Pa Se
2 3 6
Cartesian
3.541 4.075 0.000
3.541 -4.075 0.000
-1.170 0.000 3.625
2.371 1.999 3.625
2.371 -1.999 3.625
0.004 2.056 5.299
1.175 0.000 1.908
0.004 -2.056 5.299
4.737 2.056 1.952
3.566 0.000 5.342
4.737 -2.056 1.952
```

Most intense lines, 10° ≤ 2θ ≤ 90°, by angle:
- 12.2°, I 85.2
- 25.5°, I 38.7
- 30.1°, I 100.0
- 32.6°, I 16.5
- 41.9°, I 26.6
- 44.3°, I 35.2
- 46.2°, I 20.2
- 72.8°, I 16.0

***

[9]
NaSm2PaSe5: simulated powder diffraction line list (Cu Kα (λ = 1.5418 Å)), based on DFT lattice parameters and positions (PBE).
Lines closer than 0.1° are merged.

Crystal structure
```
NaSm2PaSe5
1.0
-2.646 3.697 7.205
2.646 -3.697 7.205
2.646 3.697 -7.205
Na Sm Pa Se
1 2 1 5
Cartesian
0.000 0.000 0.000
2.646 0.000 4.308
0.000 3.697 2.897
0.000 0.000 7.205
2.646 1.898 -2.166
2.646 1.898 2.166
0.000 3.697 0.000
0.000 1.799 5.039
0.000 1.799 9.371
```

Most intense lines, 10° ≤ 2θ ≤ 90°, by angle:
- 13.5°, I 100.0
- 24.1°, I 70.3
- 33.4°, I 27.0
- 33.9°, I 34.7
- 34.8°, I 33.8
- 35.0°, I 62.1
- 48.3°, I 19.4
- 49.3°, I 36.9

***

[10]
NaTbPaSe4: simulated powder diffraction line list (Cu Kα (λ = 1.5418 Å)), based on DFT lattice parameters and positions (PBE).
Lines closer than 0.1° are merged.

Crystal structure
```
NaTbPaSe4
1.0
-4.246 4.312 6.028
4.246 -4.312 6.028
4.246 4.312 -6.028
Na Tb Pa Se
2 2 2 8
Cartesian
0.000 2.156 1.584
4.246 2.156 4.444
2.123 2.156 -3.014
2.123 -2.156 3.014
4.246 0.000 0.000
0.000 0.000 6.028
4.246 -0.199 2.848
4.246 4.113 -2.848
2.327 2.156 -0.113
6.165 2.156 -0.113
-1.919 2.156 6.141
1.919 2.156 6.141
0.000 0.199 8.876
0.000 4.511 3.180
```

Most intense lines, 10° ≤ 2θ ≤ 90°, by angle:
- 12.6°, I 49.0
- 12.8°, I 95.6
- 24.3°, I 39.1
- 24.5°, I 47.6
- 29.5°, I 100.0
- 29.6°, I 49.5
- 38.8°, I 41.5
- 42.3°, I 83.4

***

[11]
Na3Tm2PaSe6: simulated powder diffraction line list (Cu Kα (λ = 1.5418 Å)), based on DFT lattice parameters and positions (PBE).
Lines closer than 0.1° are merged.

Crystal structure
```
Na3Tm2PaSe6
1.0
3.553 -6.154 0.000
3.553 6.154 0.000
-2.368 0.000 7.050
Na Tm Pa Se
3 2 1 6
Cartesian
0.000 0.000 0.000
3.553 2.050 0.000
3.553 -2.050 0.000
2.368 4.102 3.525
2.368 -4.102 3.525
2.368 0.000 3.525
1.171 2.074 1.897
-0.027 0.000 5.153
1.171 -2.074 1.897
3.566 2.074 5.153
4.763 0.000 1.896
3.566 -2.074 5.153
```

Most intense lines, 10° ≤ 2θ ≤ 90°, by angle:
- 12.6°, I 61.9
- 25.4°, I 27.4
- 30.3°, I 100.0
- 42.6°, I 37.9
- 44.2°, I 35.8
- 54.5°, I 19.0
- 70.4°, I 16.0
- 72.6°, I 16.0

***

[12]
NaY2PaSe6: simulated powder diffraction line list (Cu Kα (λ = 1.5418 Å)), based on DFT lattice parameters and positions (PBE).
Lines closer than 0.1° are merged.

Crystal structure
```
NaY2PaSe6
1.0
3.619 2.089 6.547
-3.619 2.089 6.547
0.000 -4.179 6.547
Na Y Pa Se
1 2 1 6
Cartesian
0.000 0.000 0.000
0.000 0.000 3.918
0.000 0.000 13.958
0.000 0.000 10.165
-1.077 -2.133 8.715
-2.127 0.189 11.961
-1.309 2.000 8.715
0.900 -1.937 11.961
2.386 0.134 8.715
1.227 1.748 11.961
```

Most intense lines, 10° ≤ 2θ ≤ 90°, by angle:
- 14.8°, I 58.9
- 16.8°, I 40.4
- 23.0°, I 30.0
- 28.2°, I 100.0
- 33.9°, I 23.6
- 37.0°, I 92.1
- 43.3°, I 60.5
- 48.7°, I 25.6

***

[13]
Na2PaZnSe4: simulated powder diffraction line list (Cu Kα (λ = 1.5418 Å)), based on DFT lattice parameters and positions (PBE).
Lines closer than 0.1° are merged.

Crystal structure
```
Na2PaZnSe4
1.0
7.073 0.000 0.000
0.000 4.010 0.000
-2.471 0.000 7.039
Na Pa Zn Se
2 1 1 4
Cartesian
0.000 0.000 0.000
3.536 2.005 0.000
-1.235 2.005 3.519
2.301 0.000 3.519
-0.132 0.000 5.221
1.235 2.005 2.072
3.367 2.005 4.966
4.734 0.000 1.818
```

Most intense lines, 10° ≤ 2θ ≤ 90°, by angle:
- 12.6°, I 85.7
- 25.5°, I 27.2
- 30.2°, I 55.0
- 30.8°, I 100.0
- 42.8°, I 38.3
- 44.6°, I 37.2
- 45.2°, I 22.4
- 55.3°, I 21.5